Entry 1:
The following is a simulated XRD peak list of K2O. It was derived from the GGA-PBE geometry in the Materials Project, using Cu Kα (weighted mean of Kα1 and Kα2).

Atomic structure:
a b c (Å): 7.6173 7.6173 7.6173
angles (deg): 139.74 139.74 58.25
Element x y z (fractional)
K: 0.0751 0.3251 0.7500
K: 0.3251 0.0751 0.2500
K: 0.6749 0.9249 0.7500
K: 0.9249 0.6749 0.2500
O: 0.1250 0.8750 0.2500
O: 0.8750 0.1250 0.7500

Top 12 peaks for 10° ≤ 2θ ≤ 80°, in order of rising 2θ:
d/Å  I_rel
4.878  100
3.387  50
3.327  19
3.239  90
2.622  98
2.373  71
2.309  24
2.073  23
2.059  16
1.854  30
1.759  50
1.609  20


Entry 2:
The following is a simulated XRD peak list of KO. It was derived from the GGA-PBE geometry in the Materials Project, using Cu Kα (weighted mean of Kα1 and Kα2).

Atomic structure:
a b c (Å): 4.9116 4.9116 6.5651
angles (deg): 90.00 90.00 91.95
Element x y z (fractional)
K: 0.0910 0.4090 0.2500
K: 0.4090 0.0910 0.7500
K: 0.5910 0.9090 0.2500
K: 0.9090 0.5910 0.7500
O: 0.0869 0.9131 0.4309
O: 0.4131 0.5869 0.9309
O: 0.5869 0.4131 0.0691
O: 0.9131 0.0869 0.5691

Top 12 peaks for 10° ≤ 2θ ≤ 80°, in order of rising 2θ:
d/Å  I_rel
3.931  47
3.413  24
3.283  34
3.110  64
2.454  20
2.404  15
2.366  78
2.299  100
1.860  33
1.706  27
1.496  12
1.258  14


Entry 3:
The following is a simulated XRD peak list of K2O. It was derived from the GGA-PBE geometry in the Materials Project, using Cu Kα (weighted mean of Kα1 and Kα2).

Atomic structure:
a b c (Å): 5.2270 5.2270 7.5904
angles (deg): 109.65 109.65 90.03
Element x y z (fractional)
K: 0.0761 0.3210 0.1485
K: 0.3210 0.0761 0.6485
K: 0.6790 0.9239 0.3515
K: 0.9239 0.6790 0.8515
O: 0.1294 0.8706 0.2500
O: 0.8706 0.1294 0.7500

Top 12 peaks for 10° ≤ 2θ ≤ 80°, in order of rising 2θ:
d/Å  I_rel
4.882  53
4.853  51
3.404  26
3.374  28
3.250  22
3.234  45
3.216  23
2.613  100
2.387  38
2.370  36
2.304  19
1.848  31


Entry 4:
The following is a simulated XRD peak list of K2O. It was derived from the GGA-PBE geometry in the Materials Project, using Cu Kα (weighted mean of Kα1 and Kα2).

Atomic structure:
a b c (Å): 6.4788 12.8935 6.6631
angles (deg): 90.00 90.00 90.00
Element x y z (fractional)
K: 0.0003 0.0209 0.2394
K: 0.0003 0.4791 0.7394
K: 0.9997 0.5209 0.2606
K: 0.9997 0.9791 0.7606
K: 0.1435 0.2057 0.6226
K: 0.1435 0.2943 0.1226
K: 0.3565 0.7057 0.6226
K: 0.3565 0.7943 0.1226
K: 0.5003 0.0209 0.2606
K: 0.5003 0.4791 0.7606
K: 0.4997 0.5209 0.2394
K: 0.4997 0.9791 0.7394
K: 0.6435 0.2057 0.8774
K: 0.6435 0.2943 0.3774
K: 0.8565 0.7057 0.8774
K: 0.8565 0.7943 0.3774
O: 0.2318 0.6150 0.9690
O: 0.2318 0.8850 0.4690
O: 0.2682 0.1150 0.9690
O: 0.2682 0.3850 0.4690
O: 0.7318 0.6150 0.5310
O: 0.7318 0.8850 0.0310
O: 0.7682 0.1150 0.5310
O: 0.7682 0.3850 0.0310

Top 12 peaks for 10° ≤ 2θ ≤ 80°, in order of rising 2θ:
d/Å  I_rel
3.223  22
3.142  39
2.961  55
2.898  100
2.888  32
2.692  31
2.650  34
2.322  38
2.317  30
2.285  25
2.184  41
1.613  19


Entry 5:
The following is a simulated XRD peak list of K2O. It was derived from the GGA-PBE geometry in the Materials Project, using Cu Kα (weighted mean of Kα1 and Kα2).

Atomic structure:
a b c (Å): 5.9471 6.3261 4.2367
angles (deg): 90.00 90.00 90.00
Element x y z (fractional)
K: 0.1713 0.2044 0.0000
K: 0.3287 0.7044 0.5000
K: 0.6713 0.2956 0.5000
K: 0.8287 0.7956 0.0000
O: 0.0000 0.0000 0.5000
O: 0.5000 0.5000 0.0000

Top 12 peaks for 10° ≤ 2θ ≤ 80°, in order of rising 2θ:
d/Å  I_rel
4.333  22
3.163  16
3.029  100
2.793  13
2.691  32
2.332  23
2.167  11
2.118  16
1.888  14
1.799  8
1.796  18
1.665  12


Entry 6:
The following is a simulated XRD peak list of K2O. It was derived from the GGA-PBE geometry in the Materials Project, using Cu Kα (weighted mean of Kα1 and Kα2).

Atomic structure:
a b c (Å): 4.0450 4.0450 5.1153
angles (deg): 90.00 90.00 90.00
Element x y z (fractional)
K: 0.0000 0.0000 0.0000
K: 0.5000 0.5000 0.5000
O: 0.0000 0.0000 0.5000

Top 12 peaks for 10° ≤ 2θ ≤ 80°, in order of rising 2θ:
d/Å  I_rel
3.173  100
2.860  87
2.558  31
2.022  28
1.907  45
1.705  28
1.586  23
1.571  11
1.430  8
1.279  12
1.248  9
1.241  10